(1)
Theoretical X-ray powder pattern of Dy2Y2ErTm2Ni2Te2 for a wavelength of 1.5418 Å, from a cell relaxed with GGA-PBE.

Peak list (6 most intense, 10 to 90 degrees two-theta, by intensity)
2theta	I_rel
34.1	100.0
34.6	86.2
33.1	77.4
30.4	48.4
47.3	32.8
58.9	29.5

Atomic structure:
```
Dy2Y2ErTm2Ni2Te2
1.0
-1.921 7.782 4.764
1.921 -7.782 4.764
1.921 7.782 -4.764
Dy Y Er Tm Ni Te
2 2 1 2 2 2
Direct
0.185 0.000 0.185
0.815 0.000 0.815
0.502 0.649 0.854
0.795 0.649 0.146
0.880 0.380 0.500
0.164 0.797 0.367
0.430 0.797 0.633
0.049 0.309 0.740
0.569 0.309 0.260
0.146 0.146 0.000
0.542 0.042 0.500
```

---

(2)
Theoretical X-ray powder pattern of TbHoCo2 for a wavelength of 1.5418 Å, from a cell relaxed with GGA-PBE.

Peak list (6 most intense, 10 to 90 degrees two-theta, by intensity)
2theta	I_rel
33.6	100.0
44.2	75.5
32.1	52.4
19.6	37.7
57.2	31.3
72.0	27.8

Atomic structure:
```
TbHoCo2
1.0
3.219 0.000 0.000
-1.609 2.787 0.000
0.000 0.000 9.062
Tb Ho Co
1 1 2
Direct
0.000 0.000 0.000
0.333 0.667 0.500
0.333 0.667 0.224
0.333 0.667 0.776
```